No. 1
Rb10Te4Cl: computed X-ray powder pattern (Cu Ka), based on a crystal structure in Alexandria, relaxed with GGA-PBE.
Lines closer than 0.1° are merged.

Most intense lines, 2θ = 10–90°, by angle:
| Position (°2θ) | d/Å | I_rel | index |
| --- | --- | --- | --- |
| 17.82 | 4.976 | 49 | 0 1 5 |
| 17.96 | 4.939 | 16 | 0 0 15 |
| 20.65 | 4.301 | 14 | 1 0 10 |
| 29.28 | 3.050 | 100 | 1 1 0 |
| 29.45 | 3.033 | 99 | 0 1 20 |
| 34.54 | 2.597 | 28 | 1 1 15 |
| 42.01 | 2.151 | 37 | 2 0 20 |
| 51.92 | 1.761 | 20 | 3 0 0 |
| 52.03 | 1.758 | 39 | 1 2 20 |
| 52.35 | 1.748 | 19 | 1 0 40 |
| 68.92 | 1.363 | 17 | 3 1 20 |
| 69.18 | 1.358 | 16 | 2 1 40 |

Lattice parameters (Å, degrees): 6.1004 6.1004 74.0829 90.00 90.00 120.00
Space group R-3m (No. 166, hexagonal axes)
Asymmetric unit:
Rb 0.0000 0.0000 0.0501 (multiplicity 6)
Rb 0.0000 0.0000 0.1501 (multiplicity 6)
Rb 0.0000 0.0000 0.2495 (multiplicity 6)
Rb 0.0000 0.0000 0.3501 (multiplicity 6)
Rb 0.0000 0.0000 0.4504 (multiplicity 6)
Te 0.0000 0.0000 0.1008 (multiplicity 6)
Te 0.0000 0.0000 0.2998 (multiplicity 6)
Cl 0.0000 0.0000 0.5000 (multiplicity 3)



No. 2
RbTeCl: computed X-ray powder pattern (Cu Ka), based on a crystal structure in Alexandria, relaxed with GGA-PBE.
Lines closer than 0.1° are merged.

Most intense lines, 2θ = 10–90°, by angle:
| Position (°2θ) | d/Å | I_rel | index |
| --- | --- | --- | --- |
| 14.70 | 6.026 | 32 | 0 0 2 |
| 22.13 | 4.017 | 68 | 0 0 3 |
| 29.45 | 3.033 | 100 | 1 1 1 |
| 32.19 | 2.781 | 42 | 1 1 2 |
| 40.71 | 2.216 | 30 | 2 0 0 |
| 41.58 | 2.172 | 53 | 1 1 4 |
| 46.82 | 1.941 | 35 | 2 0 3 |
| 61.45 | 1.509 | 17 | 1 1 7 |
| 62.40 | 1.488 | 10 | 2 0 6 |
| 63.75 | 1.460 | 14 | 2 2 3 |
| 67.24 | 1.392 | 18 | 3 1 1 |
| 74.69 | 1.271 | 18 | 3 1 4 |

Lattice parameters (Å, degrees): 4.433 4.433 12.051 90.00 90.00 90.00
Space group P4/nmm (No. 129, origin choice 2)
Asymmetric unit:
Rb 0.250 0.250 0.140 (multiplicity 2)
Te 0.250 0.750 0.500 (multiplicity 2)
Cl 0.250 0.250 0.859 (multiplicity 2)



No. 3
Rb3TiCl8: computed X-ray powder pattern (Cu Ka), based on a crystal structure in Alexandria, relaxed with GGA-PBE.
Lines closer than 0.1° are merged.

Most intense lines, 2θ = 10–90°, by angle:
| Position (°2θ) | d/Å | I_rel | index |
| --- | --- | --- | --- |
| 21.12 | 4.207 | 100 | 1 1 2 |
| 27.89 | 3.199 | 9 | 2 1 1 |
| 34.58 | 2.594 | 37 | 2 2 0 |
| 34.94 | 2.568 | 73 | 2 0 4 |
| 37.30 | 2.411 | 10 | 3 0 1 |
| 40.87 | 2.208 | 30 | 3 1 2 |
| 41.50 | 2.176 | 15 | 1 1 6 |
| 49.71 | 1.834 | 9 | 4 0 0 |
| 54.58 | 1.681 | 9 | 3 3 2 |
| 55.09 | 1.667 | 17 | 3 1 6 |
| 62.20 | 1.492 | 15 | 4 2 4 |
| 66.24 | 1.411 | 9 | 5 1 2 |

Lattice parameters (Å, degrees): 7.337 7.337 14.381 90.00 90.00 90.00
Space group I4/mmm (No. 139)
Asymmetric unit:
Rb 0.000 0.000 0.000 (multiplicity 2)
Rb 0.000 0.500 0.250 (multiplicity 4)
Ti 0.000 0.000 0.500 (multiplicity 2)
Cl 0.205 0.205 0.396 (multiplicity 16)



No. 4
RbTiTlCl6: computed X-ray powder pattern (Cu Ka), based on a crystal structure in Alexandria, relaxed with GGA-PBE.
Lines closer than 0.1° are merged.

Most intense lines, 2θ = 10–90°, by angle:
| Position (°2θ) | d/Å | I_rel | index |
| --- | --- | --- | --- |
| 13.52 | 6.549 | 16 | 1 0 0 |
| 19.61 | 4.528 | 100 | 1 0 1 |
| 23.53 | 3.781 | 28 | 1 1 0 |
| 27.55 | 3.237 | 17 | 1 1 1 |
| 30.81 | 2.902 | 31 | 2 0 1 |
| 31.66 | 2.827 | 14 | 1 0 2 |
| 37.27 | 2.413 | 44 | 2 -1 2 |
| 39.13 | 2.302 | 40 | 3 -1 1 |
| 41.36 | 2.183 | 17 | 3 0 0 |
| 52.45 | 1.744 | 15 | 4 -1 1 |
| 56.88 | 1.619 | 12 | 2 2 2 |
| 57.75 | 1.596 | 14 | 2 1 3 |

Lattice parameters (Å, degrees): 7.5618 7.5618 6.2669 90.00 90.00 120.00
Space group P312 (No. 149)
Asymmetric unit:
Rb 0.0000 0.0000 0.0000 (multiplicity 1)
Ti 0.3333 0.6667 0.0000 (multiplicity 1)
Tl 0.6667 0.3333 0.5000 (multiplicity 1)
Cl 0.0741 0.4167 0.2204 (multiplicity 6)



No. 5
Rb2TiWCl6: computed X-ray powder pattern (Cu Ka), based on a crystal structure in Alexandria, relaxed with GGA-PBE.
Lines closer than 0.1° are merged.

Most intense lines, 2θ = 10–90°, by angle:
| Position (°2θ) | d/Å | I_rel | index |
| --- | --- | --- | --- |
| 15.66 | 5.660 | 53 | 1 0 1 |
| 17.34 | 5.113 | 22 | 1 1 0 |
| 24.62 | 3.615 | 58 | 2 0 0 |
| 26.23 | 3.398 | 100 | 1 1 2 |
| 29.31 | 3.047 | 23 | 2 1 1 |
| 35.10 | 2.556 | 82 | 2 2 0 |
| 39.64 | 2.273 | 29 | 0 0 4 |
| 44.34 | 2.043 | 50 | 3 1 2 |
| 47.23 | 1.925 | 21 | 2 0 4 |
| 50.49 | 1.808 | 27 | 4 0 0 |
| 53.97 | 1.699 | 44 | 2 2 4 |
| 66.03 | 1.415 | 24 | 4 0 4 |

Lattice parameters (Å, degrees): 7.231 7.231 9.094 90.00 90.00 90.00
Space group I4/mmm (No. 139)
Asymmetric unit:
Rb 0.000 0.500 0.250 (multiplicity 4)
Ti 0.000 0.000 0.000 (multiplicity 2)
W 0.000 0.000 0.500 (multiplicity 2)
Cl 0.000 0.000 0.247 (multiplicity 4)
Cl 0.247 0.247 0.500 (multiplicity 8)



No. 6
Rb2Tl2Cl: computed X-ray powder pattern (Cu Ka), based on a crystal structure in Alexandria, relaxed with GGA-PBE.
Lines closer than 0.1° are merged.

Most intense lines, 2θ = 10–90°, by angle:
| Position (°2θ) | d/Å | I_rel | index |
| --- | --- | --- | --- |
| 16.90 | 5.246 | 40 | 0 0 4 |
| 25.47 | 3.497 | 41 | 0 0 6 |
| 29.46 | 3.032 | 17 | 1 0 5 |
| 30.05 | 2.973 | 100 | 1 1 2 |
| 33.57 | 2.669 | 64 | 1 1 4 |
| 41.17 | 2.192 | 30 | 2 0 0 |
| 45.28 | 2.003 | 20 | 1 1 8 |
| 49.04 | 1.858 | 28 | 2 0 6 |
| 52.67 | 1.738 | 26 | 1 1 10 |
| 68.22 | 1.375 | 19 | 3 1 2 |
| 70.21 | 1.341 | 16 | 3 1 4 |
| 83.58 | 1.157 | 14 | 3 1 10 |

Lattice parameters (Å, degrees): 4.385 4.385 20.984 90.00 90.00 90.00
Space group I4/mmm (No. 139)
Asymmetric unit:
Rb 0.000 0.000 0.090 (multiplicity 4)
Tl 0.000 0.500 0.250 (multiplicity 4)
Cl 0.000 0.000 0.500 (multiplicity 2)



No. 7
RbTl2Cl8: computed X-ray powder pattern (Cu Ka), based on a crystal structure in Alexandria, relaxed with GGA-PBE.
Lines closer than 0.1° are merged.

Most intense lines, 2θ = 10–90°, by angle:
| Position (°2θ) | d/Å | I_rel | index |
| --- | --- | --- | --- |
| 11.83 | 7.483 | 76 | 0 2 0 |
| 16.57 | 5.350 | 46 | 0 0 1 |
| 20.41 | 4.352 | 100 | 0 2 1 |
| 21.66 | 4.103 | 47 | 2 0 0 |
| 23.78 | 3.742 | 34 | 0 4 0 |
| 24.74 | 3.598 | 33 | 2 2 0 |
| 29.38 | 3.040 | 30 | 2 2 -1 |
| 30.47 | 2.934 | 42 | 2 2 1 |
| 32.38 | 2.765 | 78 | 2 4 0 |
| 33.50 | 2.675 | 33 | 0 0 2 |
| 46.53 | 1.952 | 20 | 2 4 -2 |
| 48.02 | 1.894 | 25 | 2 4 2 |

Lattice parameters (Å, degrees): 8.215 14.967 5.355 90.00 92.53 90.00
Space group C2/m (No. 12)
Asymmetric unit:
Rb 0.000 0.000 0.000 (multiplicity 2)
Tl 0.000 0.268 0.500 (multiplicity 4)
Cl 0.000 0.251 0.000 (multiplicity 4)
Cl 0.072 0.500 0.853 (multiplicity 4)
Cl 0.225 0.127 0.518 (multiplicity 8)



No. 8
RbTl5Cl7: computed X-ray powder pattern (Cu Ka), based on a crystal structure in Alexandria, relaxed with GGA-PBE.
Lines closer than 0.1° are merged.

Most intense lines, 2θ = 10–90°, by angle:
| Position (°2θ) | d/Å | I_rel | index |
| --- | --- | --- | --- |
| 20.54 | 4.323 | 46 | 0 2 5 |
| 22.96 | 3.874 | 44 | 1 1 3 |
| 23.33 | 3.813 | 97 | 0 2 6 |
| 24.61 | 3.617 | 96 | 0 4 1 |
| 27.21 | 3.277 | 69 | 1 3 1 |
| 27.83 | 3.206 | 100 | 1 3 2 |
| 28.82 | 3.098 | 59 | 1 3 3 |
| 29.30 | 3.048 | 45 | 0 2 8 |
| 36.68 | 2.450 | 49 | 1 1 9 |
| 39.59 | 2.276 | 41 | 1 1 10 |
| 40.10 | 2.249 | 43 | 2 0 0 |
| 42.08 | 2.147 | 47 | 1 5 6 |

Lattice parameters (Å, degrees): 4.498 14.588 26.837 90.00 90.00 90.00
Space group Cmcm (No. 63)
Asymmetric unit:
Rb 0.000 0.180 0.250 (multiplicity 4)
Tl 0.000 0.000 0.000 (multiplicity 4)
Tl 0.000 0.290 0.576 (multiplicity 8)
Tl 0.000 0.437 0.150 (multiplicity 8)
Cl 0.000 0.074 0.114 (multiplicity 8)
Cl 0.000 0.201 0.676 (multiplicity 8)
Cl 0.000 0.359 0.042 (multiplicity 8)
Cl 0.000 0.494 0.750 (multiplicity 4)



No. 9
Rb2TlCl5: computed X-ray powder pattern (Cu Ka), based on a crystal structure in Alexandria, relaxed with GGA-PBE.
Lines closer than 0.1° are merged.

Most intense lines, 2θ = 10–90°, by angle:
| Position (°2θ) | d/Å | I_rel | index |
| --- | --- | --- | --- |
| 13.34 | 6.637 | 58 | 1 0 1 |
| 13.75 | 6.441 | 17 | 2 0 0 |
| 21.58 | 4.117 | 100 | 1 2 1 |
| 21.84 | 4.069 | 40 | 2 2 0 |
| 23.69 | 3.755 | 41 | 3 0 1 |
| 29.49 | 3.029 | 37 | 1 2 2 |
| 31.90 | 2.805 | 23 | 2 2 2 |
| 32.62 | 2.745 | 22 | 4 2 0 |
| 34.16 | 2.625 | 29 | 0 4 0 |
| 40.72 | 2.216 | 20 | 5 2 1 |
| 42.01 | 2.150 | 23 | 6 0 0 |
| 44.45 | 2.038 | 24 | 3 2 3 |

Lattice parameters (Å, degrees): 12.882 10.500 7.743 90.00 90.00 90.00
Space group Pnma (No. 62)
Asymmetric unit:
Rb 0.170 0.007 0.107 (multiplicity 8)
Tl 0.028 0.250 0.505 (multiplicity 4)
Cl 0.006 0.750 0.819 (multiplicity 4)
Cl 0.068 0.060 0.700 (multiplicity 8)
Cl 0.167 0.750 0.406 (multiplicity 4)
Cl 0.224 0.250 0.401 (multiplicity 4)



No. 10
RbTlCl: computed X-ray powder pattern (Cu Ka), based on a crystal structure in Alexandria, relaxed with GGA-PBE.
Lines closer than 0.1° are merged.

Most intense lines, 2θ = 10–90°, by angle:
| Position (°2θ) | d/Å | I_rel | index |
| --- | --- | --- | --- |
| 16.14 | 5.490 | 31 | 0 0 2 |
| 24.32 | 3.660 | 52 | 0 0 3 |
| 25.28 | 3.522 | 29 | 1 0 -2 |
| 27.53 | 3.240 | 100 | 1 1 0 |
| 28.73 | 3.108 | 26 | 1 1 1 |
| 32.01 | 2.796 | 13 | 1 1 -2 |
| 36.97 | 2.432 | 34 | 1 1 -3 |
| 37.14 | 2.421 | 34 | 1 1 3 |
| 39.32 | 2.291 | 38 | 2 0 0 |
| 45.81 | 1.981 | 12 | 0 1 5 |
| 46.72 | 1.944 | 26 | 0 2 3 |
| 56.83 | 1.620 | 13 | 2 2 0 |

Lattice parameters (Å, degrees): 4.578 4.587 10.980 90.00 90.37 90.00
Space group P2_1/m (No. 11)
Asymmetric unit:
Rb 0.245 0.250 0.346 (multiplicity 2)
Tl 0.250 0.250 0.966 (multiplicity 2)
Cl 0.255 0.250 0.651 (multiplicity 2)



No. 11
RbTlCl3: computed X-ray powder pattern (Cu Ka), based on a crystal structure in Alexandria, relaxed with GGA-PBE.
Lines closer than 0.1° are merged.

Most intense lines, 2θ = 10–90°, by angle:
| Position (°2θ) | d/Å | I_rel | index |
| --- | --- | --- | --- |
| 15.94 | 5.559 | 100 | 1 0 1 |
| 18.90 | 4.696 | 55 | 1 0 3 |
| 23.19 | 3.836 | 92 | 1 1 2 |
| 23.76 | 3.745 | 68 | 1 0 5 |
| 29.66 | 3.012 | 71 | 1 0 7 |
| 31.37 | 2.852 | 57 | 2 0 0 |
| 36.87 | 2.438 | 52 | 2 1 3 |
| 39.73 | 2.269 | 58 | 2 1 5 |
| 42.78 | 2.114 | 31 | 1 1 10 |
| 43.09 | 2.099 | 30 | 2 0 8 |
| 43.72 | 2.070 | 34 | 0 0 12 |
| 54.81 | 1.675 | 30 | 2 0 12 |

Lattice parameters (Å, degrees): 5.704 5.704 24.823 90.00 90.00 90.00
Space group I-4m2 (No. 119)
Asymmetric unit:
Rb 0.000 0.000 0.090 (multiplicity 4)
Tl 0.000 0.000 0.500 (multiplicity 2)
Tl 0.000 0.500 0.250 (multiplicity 2)
Cl 0.000 0.246 0.359 (multiplicity 8)
Cl 0.000 0.500 0.519 (multiplicity 4)



No. 12
Rb3Tl2Cl5: computed X-ray powder pattern (Cu Ka), based on a crystal structure in Alexandria, relaxed with GGA-PBE.
Lines closer than 0.1° are merged.

Most intense lines, 2θ = 10–90°, by angle:
| Position (°2θ) | d/Å | I_rel | index |
| --- | --- | --- | --- |
| 10.64 | 8.314 | 19 | 2 0 -1 |
| 18.21 | 4.871 | 16 | 0 0 2 |
| 22.23 | 3.999 | 49 | 2 0 -3 |
| 24.28 | 3.666 | 71 | 1 1 1 |
| 26.26 | 3.393 | 100 | 3 1 -2 |
| 28.24 | 3.160 | 45 | 2 0 2 |
| 34.73 | 2.583 | 23 | 6 0 -4 |
| 38.94 | 2.313 | 56 | 1 1 -4 |
| 40.07 | 2.250 | 25 | 0 2 0 |
| 42.83 | 2.111 | 19 | 5 1 -5 |
| 46.29 | 1.961 | 16 | 2 2 -3 |
| 49.74 | 1.833 | 18 | 2 2 2 |

Lattice parameters (Å, degrees): 16.757 4.501 12.091 90.00 126.32 90.00
Space group C2/m (No. 12)
Asymmetric unit:
Rb 0.000 0.000 0.000 (multiplicity 2)
Rb 0.111 0.500 0.372 (multiplicity 4)
Tl 0.177 0.000 0.777 (multiplicity 4)
Cl 0.000 0.500 0.500 (multiplicity 2)
Cl 0.109 0.500 0.922 (multiplicity 4)
Cl 0.210 0.000 0.299 (multiplicity 4)